# 1
The following is a calculated powder diffractogram of K2PPtS4. It was derived from a structure optimized by DFT (GGA-PBE), using Cu Kα X-rays.
Intensities are scaled so that the largest is 100.

The 10 most intense peaks (15 to 90 degrees two-theta), by intensity:
- 15.83°, 5.599 Å, I = 100.0
- 17.19°, 5.159 Å, I = 60.4
- 15.65°, 5.662 Å, I = 49.4
- 29.22°, 3.057 Å, I = 45.6
- 24.57°, 3.623 Å, I = 41.6
- 32.60°, 2.747 Å, I = 37.0
- 30.36°, 2.944 Å, I = 30.0
- 39.52°, 2.280 Å, I = 29.2
- 46.99°, 1.934 Å, I = 24.6
- 34.01°, 2.636 Å, I = 23.9

Atomic structure:
a = 6.562 Å, b = 13.332 Å, c = 20.636 Å
α = 90.00°, β = 90.00°, γ = 90.00°
Space group Fddd (No. 70, origin choice 2)
Asymmetric unit:
1 K 0.125 0.125 0.293 x16
2 P 0.125 0.125 0.625 x8
3 Pt 0.125 0.125 0.125 x8
4 S 0.092 0.276 0.837 x32


# 2
The following is a calculated powder diffractogram of Er3Sc4. It was derived from a structure optimized by DFT (GGA-PBE), using Cu Kα X-rays.
Intensities are scaled so that the largest is 100.

The 10 most intense peaks (15 to 90 degrees two-theta), by intensity:
- 32.59°, 2.748 Å, I = 100.0
- 37.50°, 2.399 Å, I = 34.0
- 19.31°, 4.598 Å, I = 28.0
- 64.57°, 1.443 Å, I = 26.6
- 54.77°, 1.676 Å, I = 22.2
- 38.42°, 2.343 Å, I = 15.9
- 26.54°, 3.359 Å, I = 13.3
- 65.82°, 1.419 Å, I = 12.6
- 54.07°, 1.696 Å, I = 11.5
- 68.26°, 1.374 Å, I = 11.3

Atomic structure:
a = 3.393 Å, b = 4.686 Å, c = 23.737 Å
α = 90.00°, β = 90.00°, γ = 90.00°
Space group Immm (No. 71)
Asymmetric unit:
1 Er 0.000 0.000 0.000 x2
2 Er 0.000 0.000 0.144 x4
3 Sc 0.000 0.000 0.284 x4
4 Sc 0.000 0.000 0.428 x4


# 3
The following is a calculated powder diffractogram of ThNb4O12. It was derived from a structure optimized by DFT (GGA-PBE), using Cu Kα X-rays.
Intensities are scaled so that the largest is 100.

The 10 most intense peaks (15 to 90 degrees two-theta), by intensity:
- 32.01°, 2.796 Å, I = 100.0
- 19.40°, 4.575 Å, I = 58.3
- 15.75°, 5.625 Å, I = 51.0
- 45.62°, 1.989 Å, I = 36.7
- 25.09°, 3.549 Å, I = 36.7
- 31.87°, 2.808 Å, I = 25.1
- 31.76°, 2.817 Å, I = 23.7
- 22.35°, 3.977 Å, I = 23.2
- 56.74°, 1.622 Å, I = 22.9
- 27.68°, 3.223 Å, I = 22.0

Atomic structure:
a = 5.616 Å, b = 7.864 Å, c = 5.634 Å
α = 90.00°, β = 90.00°, γ = 90.00°
Space group Pmm2 (No. 25)
Asymmetric unit:
1 Th 0.000 0.000 0.000 x1
2 Nb 0.000 0.255 0.504 x2
3 Nb 0.500 0.260 0.002 x2
4 O 0.000 0.000 0.401 x1
5 O 0.000 0.500 0.531 x1
6 O 0.234 0.198 0.741 x4
7 O 0.237 0.259 0.216 x4
8 O 0.500 0.000 0.026 x1
9 O 0.500 0.500 0.912 x1


# 4
The following is a calculated powder diffractogram of Mo4PtW. It was derived from a structure optimized by DFT (GGA-PBE), using Cu Kα X-rays.
Intensities are scaled so that the largest is 100.

The 10 most intense peaks (15 to 90 degrees two-theta), by intensity:
- 40.97°, 2.203 Å, I = 100.0
- 34.73°, 2.583 Å, I = 51.9
- 66.50°, 1.406 Å, I = 31.6
- 73.30°, 1.291 Å, I = 24.7
- 42.88°, 2.109 Å, I = 21.0
- 62.26°, 1.491 Å, I = 19.6
- 87.57°, 1.114 Å, I = 11.7
- 83.73°, 1.155 Å, I = 8.7
- 88.85°, 1.101 Å, I = 8.0
- 21.06°, 4.218 Å, I = 3.5

Atomic structure:
a = 7.306 Å, b = 7.306 Å, c = 7.306 Å
α = 90.00°, β = 90.00°, γ = 90.00°
Space group F-43m (No. 216)
Asymmetric unit:
1 Mo 0.124 0.124 0.124 x16
2 Pt 0.000 0.000 0.500 x4
3 W 0.250 0.250 0.750 x4


# 5
The following is a calculated powder diffractogram of KNb2O5. It was derived from a structure optimized by DFT (GGA-PBE), using Cu Kα X-rays.
Intensities are scaled so that the largest is 100.

The 10 most intense peaks (15 to 90 degrees two-theta), by intensity:
- 31.12°, 2.874 Å, I = 100.0
- 21.85°, 4.068 Å, I = 96.6
- 30.83°, 2.900 Å, I = 85.5
- 15.26°, 5.806 Å, I = 77.4
- 30.53°, 2.928 Å, I = 72.6
- 28.39°, 3.144 Å, I = 66.6
- 44.54°, 2.034 Å, I = 63.1
- 15.16°, 5.845 Å, I = 62.9
- 28.11°, 3.175 Å, I = 51.8
- 29.08°, 3.071 Å, I = 47.5

Atomic structure:
a = 4.069 Å, b = 12.954 Å, c = 13.101 Å
α = 90.00°, β = 91.22°, γ = 90.00°
Space group Pc (No. 7)
Asymmetric unit:
1 K 0.000 0.053 0.000 x2
2 K 0.008 0.240 0.651 x2
3 K 0.977 0.401 0.341 x2
4 Nb 0.461 0.242 0.164 x2
5 Nb 0.479 0.451 0.579 x2
6 Nb 0.507 0.319 0.851 x2
7 Nb 0.511 0.170 0.450 x2
8 Nb 0.531 0.036 0.737 x2
9 Nb 0.866 0.365 0.011 x2
10 O 0.019 0.336 0.861 x2
11 O 0.475 0.254 0.305 x2
12 O 0.491 0.320 0.508 x2
13 O 0.492 0.096 0.151 x2
14 O 0.495 0.255 0.998 x2
15 O 0.496 0.107 0.580 x2
16 O 0.499 0.392 0.712 x2
17 O 0.501 0.037 0.365 x2
18 O 0.512 0.180 0.791 x2
19 O 0.518 0.460 0.940 x2
20 O 0.529 0.400 0.139 x2
21 O 0.984 0.258 0.134 x2
22 O 0.988 0.176 0.444 x2
23 O 0.996 0.476 0.560 x2
24 O 0.997 0.041 0.727 x2


# 6
The following is a calculated powder diffractogram of Cs2PmUSe6. It was derived from a structure optimized by DFT (GGA-PBE), using Cu Kα X-rays.
Intensities are scaled so that the largest is 100.

The 10 most intense peaks (15 to 90 degrees two-theta), by intensity:
- 32.03°, 2.794 Å, I = 100.0
- 22.50°, 3.952 Å, I = 88.9
- 45.93°, 1.976 Å, I = 72.2
- 39.50°, 2.281 Å, I = 41.1
- 15.86°, 5.588 Å, I = 33.1
- 76.19°, 1.250 Å, I = 32.0
- 57.09°, 1.613 Å, I = 25.0
- 85.04°, 1.141 Å, I = 24.4
- 62.15°, 1.494 Å, I = 23.2
- 27.65°, 3.226 Å, I = 21.4

Atomic structure:
a = 7.904 Å, b = 11.177 Å, c = 7.903 Å
α = 90.00°, β = 90.00°, γ = 90.00°
Space group Pmmn (No. 59, origin choice 2)
Asymmetric unit:
1 Cs 0.250 0.000 0.250 x4
2 Pm 0.250 0.250 0.750 x2
3 U 0.250 0.750 0.750 x2
4 Se 0.010 0.750 0.510 x4
5 Se 0.010 0.750 0.990 x4
6 Se 0.250 0.510 0.750 x4


# 7
The following is a calculated powder diffractogram of Rb5Te3Au3. It was derived from a structure optimized by DFT (GGA-PBE), using Cu Kα X-rays.
Intensities are scaled so that the largest is 100.

The 10 most intense peaks (15 to 90 degrees two-theta), by intensity:
- 16.07°, 5.516 Å, I = 100.0
- 28.02°, 3.185 Å, I = 73.1
- 43.44°, 2.083 Å, I = 56.6
- 32.50°, 2.755 Å, I = 40.3
- 36.47°, 2.464 Å, I = 32.4
- 22.82°, 3.897 Å, I = 28.6
- 24.66°, 3.611 Å, I = 25.7
- 46.60°, 1.949 Å, I = 19.7
- 60.55°, 1.529 Å, I = 16.0
- 41.22°, 2.190 Å, I = 15.8

Atomic structure:
a = 11.0325 Å, b = 11.0325 Å, c = 5.5062 Å
α = 90.00°, β = 90.00°, γ = 120.00°
Space group P-62m (No. 189)
Asymmetric unit:
1 Rb 0.0000 0.7246 0.0000 x3
2 Rb 0.3333 0.6667 0.0000 x2
3 Te 0.0000 0.3636 0.0000 x3
4 Au 0.0000 0.3595 0.5000 x3


# 8
The following is a calculated powder diffractogram of Li6HgPd. It was derived from a structure optimized by DFT (GGA-PBE), using Cu Kα X-rays.
Intensities are scaled so that the largest is 100.

The 10 most intense peaks (15 to 90 degrees two-theta), by intensity:
- 26.47°, 3.367 Å, I = 100.0
- 17.89°, 4.957 Å, I = 52.1
- 31.25°, 2.862 Å, I = 42.8
- 41.41°, 2.181 Å, I = 39.7
- 52.78°, 1.734 Å, I = 31.0
- 51.03°, 1.790 Å, I = 21.9
- 71.66°, 1.317 Å, I = 12.4
- 43.47°, 2.082 Å, I = 11.4
- 36.25°, 2.478 Å, I = 11.4
- 39.28°, 2.294 Å, I = 10.0

Atomic structure:
a = 5.7236 Å, b = 5.7236 Å, c = 4.5877 Å
α = 90.00°, β = 90.00°, γ = 120.00°
Space group P-6m2 (No. 187)
Asymmetric unit:
1 Li 0.0047 0.5024 0.0000 x3
2 Li 0.3113 0.1556 0.5000 x3
3 Hg 0.3333 0.6667 0.5000 x1
4 Pd 0.0000 0.0000 0.0000 x1


# 9
The following is a calculated powder diffractogram of RbMgIBr2. It was derived from a structure optimized by DFT (GGA-PBE), using Cu Kα X-rays.
Intensities are scaled so that the largest is 100.

The 10 most intense peaks (15 to 90 degrees two-theta), by intensity:
- 28.18°, 3.167 Å, I = 100.0
- 24.51°, 3.631 Å, I = 20.6
- 31.85°, 2.810 Å, I = 16.6
- 48.96°, 1.860 Å, I = 15.6
- 22.29°, 3.989 Å, I = 14.8
- 39.16°, 2.300 Å, I = 13.6
- 37.72°, 2.385 Å, I = 13.1
- 45.54°, 1.992 Å, I = 13.0
- 39.97°, 2.255 Å, I = 12.8
- 30.22°, 2.957 Å, I = 9.5

Atomic structure:
a = 4.601 Å, b = 17.742 Å, c = 9.022 Å
α = 90.00°, β = 90.00°, γ = 90.00°
Space group Cmcm (No. 63)
Asymmetric unit:
1 Rb 0.000 0.211 0.250 x4
2 Mg 0.000 0.500 0.000 x4
3 I 0.000 0.003 0.750 x4
4 Br 0.000 0.359 0.502 x8


# 10
The following is a calculated powder diffractogram of Rb3LiI4. It was derived from a structure optimized by DFT (GGA-PBE), using Cu Kα X-rays.
Intensities are scaled so that the largest is 100.

The 10 most intense peaks (15 to 90 degrees two-theta), by intensity:
- 24.01°, 3.707 Å, I = 100.0
- 17.18°, 5.162 Å, I = 93.4
- 30.77°, 2.906 Å, I = 59.5
- 39.40°, 2.287 Å, I = 57.1
- 17.84°, 4.973 Å, I = 54.0
- 29.58°, 3.020 Å, I = 48.7
- 31.01°, 2.884 Å, I = 48.0
- 29.67°, 3.011 Å, I = 47.3
- 38.45°, 2.341 Å, I = 41.6
- 20.97°, 4.236 Å, I = 36.6

Atomic structure:
a = 12.079 Å, b = 9.945 Å, c = 7.413 Å
α = 90.00°, β = 90.00°, γ = 90.00°
Space group Pmn2_1 (No. 31)
Asymmetric unit:
1 Rb 0.000 0.141 0.000 x2
2 Rb 0.232 0.331 0.502 x4
3 Li 0.000 0.818 0.422 x2
4 I 0.000 0.101 0.502 x2
5 I 0.000 0.789 0.048 x2
6 I 0.215 0.699 0.506 x4